(1)
Diffraction record for In2Cu3Se6O18. The XRD peak list is computed, not measured: it uses a cell relaxed with PBE and Cu Kα X-rays.
Neutral-atom scattering factors, no anomalous dispersion.

The 10 most intense peaks (2θ from 15° to 90°), by angle:
(hkl)  d_spacing  2θ/deg  I (rel.)
0 4 1  4.169  21.31  77
1 4 0  3.385  26.33  39
0 3 2  3.361  26.52  49
1 4 -2  3.306  26.97  100
1 3 1  2.934  30.47  54
1 3 -3  2.833  31.58  23
2 0 -2  2.801  31.95  33
2 1 -1  2.651  33.81  24
1 6 -2  2.645  33.90  27
1 5 1  2.518  35.66  37

```
data_In2Cu3Se6O18
_chemical_formula_sum 'In4 Cu6 Se12 O36'
_symmetry_space_group_name_H-M 'P 1 21/c 1'
_symmetry_Int_Tables_number 14
_symmetry_space_group_name_Hall '-P 2ybc'
_cell_length_a 5.6088
_cell_length_b 19.7069
_cell_length_c 9.4219
_cell_angle_alpha 90.00
_cell_angle_beta 123.86
_cell_angle_gamma 90.00
loop_
_atom_site_label
_atom_site_type_symbol
_atom_site_fract_x
_atom_site_fract_y
_atom_site_fract_z
In1 In 0.2297 0.1541 0.2565
Cu1 Cu 0.2082 0.0138 0.8271
Cu2 Cu 0.5000 0.0000 0.5000
Se1 Se 0.0703 0.6140 0.0241
Se2 Se 0.2677 0.5917 0.6472
Se3 Se 0.4566 0.7233 0.4416
O1 O 0.0201 0.5882 0.1831
O2 O 0.0843 0.1043 0.0127
O3 O 0.0937 0.7330 0.3514
O4 O 0.1715 0.0579 0.6310
O5 O 0.2039 0.5329 0.7644
O6 O 0.3778 0.5401 0.5409
O7 O 0.4100 0.5751 0.1048
O8 O 0.4344 0.1929 0.5155
O9 O 0.4607 0.7119 0.2600
```

***

(2)
Diffraction record for InCuP2Se6. The XRD peak list is computed, not measured: it uses a cell relaxed with PBE and Cu Kα X-rays.
Neutral-atom scattering factors, no anomalous dispersion.

The 10 most intense peaks (2θ from 15° to 90°), by angle:
(hkl)  d_spacing  2θ/deg  I (rel.)
0 0 4  3.497  25.47  13
2 -1 2  2.929  30.52  100
2 -1 4  2.371  37.95  41
1 1 6  1.889  48.16  24
3 0 0  1.862  48.92  31
3 0 4  1.644  55.95  8
2 2 2  1.571  58.76  14
2 2 4  1.464  63.53  8
3 0 8  1.275  74.43  13
5 -1 2  1.201  79.88  11

```
data_InCuP2Se6
_chemical_formula_sum 'In2 Cu2 P4 Se12'
_symmetry_space_group_name_H-M 'P -3 1 c'
_symmetry_Int_Tables_number 163
_symmetry_space_group_name_Hall '-P 3 2c'
_cell_length_a 6.4500
_cell_length_b 6.4500
_cell_length_c 13.9889
_cell_angle_alpha 90.00
_cell_angle_beta 90.00
_cell_angle_gamma 120.00
loop_
_atom_site_label
_atom_site_type_symbol
_atom_site_fract_x
_atom_site_fract_y
_atom_site_fract_z
In1 In 0.0000 0.0000 0.2500
Cu1 Cu 0.3333 0.6667 0.2500
P1 P 0.3333 0.6667 0.6689
Se1 Se 0.0070 0.3501 0.3727
```